[1]
The following is a simulated powder X-ray diffraction pattern of LiTmU2S3O2. It was derived from a crystal structure in the Materials Project, relaxed with GGA-PBE, using Cu Kα, 1.54184 Å.

Structure:
Cell: 5.3818 5.3903 10.5880 Å, 90.00 90.19 90.00°
Space group Cm (No. 8)
Symmetry-distinct sites (fractional):
Li (0.0000, 0.0000, 0.0000) x2
Tm (0.0203, 0.0000, 0.4983) x2
U (0.0056, 0.5000, 0.1505) x2
U (0.4962, 0.0000, 0.8540) x2
S (0.0065, 0.0000, 0.2462) x2
S (0.0184, 0.5000, 0.4880) x2
S (0.4977, 0.5000, 0.7491) x2
O (0.2496, 0.2504, 0.9987) x4

Main lines, sorted by position (5° ≤ 2θ ≤ 70°):
Position (°2θ)	I/Imax	index
24.84	100.0	1 1 -1
25.23	53.0	0 0 3
33.27	72.7	0 2 0
41.55	57.0	1 1 -4
42.18	50.7	0 2 3
47.76	31.3	2 2 0


[2]
The following is a simulated powder X-ray diffraction pattern of LiSbO2. It was derived from a crystal structure in the Materials Project, relaxed with GGA-PBE, using Cu Kα, 1.54184 Å.

Structure:
Cell: 7.0609 8.8777 5.3566 Å, 90.00 130.23 90.00°
Space group C2/c (No. 15)
Symmetry-distinct sites (fractional):
Li (0.0000, 0.0484, 0.2500) x4
Sb (0.0000, 0.3956, 0.7500) x4
O (0.2304, 0.4638, 0.2608) x8

Main lines, sorted by position (5° ≤ 2θ ≤ 70°):
Position (°2θ)	I/Imax	index
19.26	100.0	1 1 0
19.51	53.6	1 1 -1
20.00	23.8	0 2 0
29.70	41.6	0 2 1
32.41	54.3	2 2 -1
34.72	26.8	1 3 -1


[3]
The following is a simulated powder X-ray diffraction pattern of Li8SbO3. It was derived from a crystal structure in the Materials Project, relaxed with GGA-PBE, using Cu Kα, 1.54184 Å.

Structure:
Cell: 5.2548 5.2548 5.2548 Å, 90.00 90.00 90.00°
Space group Pm-3m (No. 221)
Symmetry-distinct sites (fractional):
Li (0.2262, 0.2262, 0.2262) x8
Sb (0.5000, 0.5000, 0.5000) x1
O (0.0000, 0.0000, 0.5000) x3

Main lines, sorted by position (5° ≤ 2θ ≤ 70°):
Position (°2θ)	I/Imax	index
16.87	88.6	1 0 0
23.95	91.1	1 1 0
29.44	100.0	1 1 1
38.30	60.0	2 1 0
42.12	40.8	2 1 1
49.03	49.3	2 2 0


[4]
The following is a simulated powder X-ray diffraction pattern of LiSbO3. It was derived from a crystal structure in the Materials Project, relaxed with GGA-PBE, using Cu Kα, 1.54184 Å.

Structure:
Cell: 5.2703 4.9920 8.6088 Å, 90.00 90.00 90.00°
Space group Pnna (No. 52)
Symmetry-distinct sites (fractional):
Li (0.2500, 0.0000, 0.1942) x4
Sb (0.2500, 0.0000, 0.5947) x4
O (0.0756, 0.2050, 0.4183) x8
O (0.0908, 0.2500, 0.7500) x4

Main lines, sorted by position (5° ≤ 2θ ≤ 70°):
Position (°2θ)	I/Imax	index
19.75	36.8	1 0 1
20.57	100.0	0 1 1
32.29	65.0	1 1 2
35.62	18.5	1 0 3
40.09	32.1	2 1 1
51.53	26.8	1 2 3


[5]
The following is a simulated powder X-ray diffraction pattern of LiSbO3. It was derived from a crystal structure in the Materials Project, relaxed with GGA-PBE, using Cu Kα, 1.54184 Å.

Structure:
Cell: 5.1811 9.4929 5.2145 Å, 90.00 105.51 90.00°
Space group C2/m (No. 12)
Symmetry-distinct sites (fractional):
Li (0.0000, 0.1525, 0.0000) x4
Sb (0.0000, 0.3381, 0.5000) x4
O (0.2048, 0.5000, 0.7136) x4
O (0.2411, 0.3002, 0.2664) x8

Main lines, sorted by position (5° ≤ 2θ ≤ 70°):
Position (°2θ)	I/Imax	index
17.65	100.0	0 0 1
20.10	42.5	1 1 0
23.45	36.2	1 1 -1
33.53	33.6	1 3 0
35.67	29.8	2 0 -1
40.44	45.9	1 3 1


[6]
The following is a simulated powder X-ray diffraction pattern of LiSbO3. It was derived from a crystal structure in the Materials Project, relaxed with GGA-PBE, using Cu Kα, 1.54184 Å.

Structure:
Cell: 5.3674 9.1622 5.3772 Å, 90.00 113.16 90.00°
Space group C2/m (No. 12)
Symmetry-distinct sites (fractional):
Li (0.1531, 0.0000, 0.3516) x4
Sb (0.0000, 0.3310, 0.0000) x4
O (0.2178, 0.5000, 0.2341) x4
O (0.2337, 0.3220, 0.7837) x8

Main lines, sorted by position (5° ≤ 2θ ≤ 70°):
Position (°2θ)	I/Imax	index
17.94	100.0	0 0 1
20.44	34.0	1 1 0
22.07	27.4	1 1 -1
34.54	36.7	1 3 0
42.54	34.6	1 3 1
59.98	23.8	3 3 -1


[7]
The following is a simulated powder X-ray diffraction pattern of LiSbO3. It was derived from a crystal structure in the Materials Project, relaxed with GGA-PBE, using Cu Kα, 1.54184 Å.

Structure:
Cell: 6.0207 6.0207 6.0207 Å, 90.00 90.00 90.00°
Space group P2_13 (No. 198)
Symmetry-distinct sites (fractional):
Li (0.1281, 0.3719, 0.6281) x4
Sb (0.0921, 0.9079, 0.4079) x4
O (0.0150, 0.7230, 0.1376) x12

Main lines, sorted by position (5° ≤ 2θ ≤ 70°):
Position (°2θ)	I/Imax	index
20.87	86.0	1 1 0
25.63	73.2	1 1 1
33.28	100.0	2 0 1
47.77	41.3	3 1 0
54.99	21.5	3 0 2
57.25	49.7	3 2 1


[8]
The following is a simulated powder X-ray diffraction pattern of LiSbO2. It was derived from a crystal structure in the Materials Project, relaxed with GGA-PBE, using Cu Kα, 1.54184 Å.

Structure:
Cell: 4.9477 18.2134 5.6853 Å, 90.00 90.15 90.00°
Space group P2_1/c (No. 14)
Symmetry-distinct sites (fractional):
Li (0.2357, 0.2119, 0.3749) x4
Li (0.2644, 0.7145, 0.4539) x4
Sb (0.2396, 0.5993, 0.0047) x4
Sb (0.2621, 0.1003, 0.9216) x4
O (0.1331, 0.6175, 0.6644) x4
O (0.1643, 0.6957, 0.1222) x4
O (0.3338, 0.1972, 0.0376) x4
O (0.3664, 0.1178, 0.5794) x4

Main lines, sorted by position (5° ≤ 2θ ≤ 70°):
Position (°2θ)	I/Imax	index
19.50	52.7	0 4 0
25.80	100.0	1 2 1
29.42	15.1	0 6 0
30.98	18.3	1 4 -1
36.32	18.0	2 0 0
46.74	20.2	1 8 1


[9]
The following is a simulated powder X-ray diffraction pattern of SrLiSnSbO6. It was derived from a crystal structure in the Materials Project, relaxed with GGA-PBE, using Cu Kα, 1.54184 Å.

Structure:
Cell: 8.0553 8.0553 8.0553 Å, 90.00 90.00 90.00°
Space group F-43m (No. 216)
Symmetry-distinct sites (fractional):
Sr (0.0000, 0.0000, 0.0000) x4
Li (0.0000, 0.0000, 0.5000) x4
Sn (0.2500, 0.2500, 0.7500) x4
Sb (0.2500, 0.2500, 0.2500) x4
O (0.0042, 0.2500, 0.2500) x24

Main lines, sorted by position (5° ≤ 2θ ≤ 70°):
Position (°2θ)	I/Imax	index
22.07	45.4	2 0 0
31.41	100.0	2 2 0
45.02	37.1	4 0 0
50.68	18.5	4 2 0
55.92	40.7	4 2 2
65.56	22.5	4 4 0